Starting from DFT lattice parameters and positions (GGA-PBE), the powder XRD pattern of K5ThF9 was computed for CuKα.
Intensities are scaled so that the largest is 100.

Structural model:
Cell: 7.5951 7.5951 10.9121 Å, 90.00 90.00 117.08°
Atoms (fractional coordinates):
1 K 0.0782 0.9218 0.5000
2 K 0.1050 0.3793 0.3396
3 K 0.1472 0.3561 0.6831
4 K 0.3561 0.1472 0.1831
5 K 0.3793 0.1050 0.8396
6 K 0.6207 0.8950 0.3396
7 K 0.6439 0.8528 0.6831
8 K 0.8528 0.6439 0.1831
9 K 0.8950 0.6207 0.8396
10 K 0.9218 0.0782 0.0000
11 Th 0.3385 0.6615 0.0356
12 Th 0.6615 0.3385 0.5356
13 F 0.0032 0.4478 0.0520
14 F 0.0190 0.9810 0.7445
15 F 0.1513 0.8487 0.0079
16 F 0.2536 0.7464 0.2328
17 F 0.2882 0.3471 0.9703
18 F 0.3034 0.6966 0.8267
19 F 0.3471 0.2882 0.4703
20 F 0.4478 0.0032 0.5520
21 F 0.4576 0.5424 0.1955
22 F 0.5424 0.4576 0.6955
23 F 0.5522 0.9968 0.0520
24 F 0.6529 0.7118 0.9703
25 F 0.6966 0.3034 0.3267
26 F 0.7118 0.6529 0.4703
27 F 0.7464 0.2536 0.7328
28 F 0.8487 0.1513 0.5079
29 F 0.9810 0.0190 0.2445
30 F 0.9968 0.5522 0.5520

Most intense lines, 2θ from 5° to 70°, sorted by position:
| d (Å) | I/Imax |
| --- | --- |
| 5.748 | 100 |
| 5.571 | 36 |
| 5.456 | 22 |
| 3.793 | 21 |
| 3.231 | 58 |
| 3.205 | 34 |
| 3.172 | 41 |
| 3.112 | 23 |
| 2.518 | 21 |
| 2.279 | 27 |



Starting from DFT lattice parameters and positions (GGA-PBE), the powder XRD pattern of K7Th6F31 was computed for CuKα.
Intensities are scaled so that the largest is 100.

Structural model:
Cell: 9.6219 9.6219 9.6219 Å, 107.12 107.12 107.12°
Atoms (fractional coordinates):
1 K 0.0000 0.0000 0.0000
2 K 0.0813 0.6882 0.2235
3 K 0.2235 0.0813 0.6882
4 K 0.3185 0.7815 0.9285
5 K 0.6882 0.2235 0.0813
6 K 0.7815 0.9285 0.3185
7 K 0.9285 0.3185 0.7815
8 Th 0.1454 0.3759 0.4564
9 Th 0.3759 0.4564 0.1454
10 Th 0.4564 0.1454 0.3759
11 Th 0.5424 0.8773 0.6279
12 Th 0.6279 0.5424 0.8773
13 Th 0.8773 0.6279 0.5424
14 F 0.0274 0.2102 0.5546
15 F 0.0609 0.5238 0.6484
16 F 0.0719 0.8359 0.7655
17 F 0.1582 0.3968 0.2196
18 F 0.1667 0.2422 0.9290
19 F 0.2102 0.5546 0.0274
20 F 0.2196 0.1582 0.3968
21 F 0.2422 0.9290 0.1667
22 F 0.2955 0.6567 0.5425
23 F 0.3490 0.4526 0.7086
24 F 0.3541 0.9553 0.4825
25 F 0.3968 0.2196 0.1582
26 F 0.4200 0.4200 0.4200
27 F 0.4476 0.9780 0.8015
28 F 0.4526 0.7086 0.3490
29 F 0.4825 0.3541 0.9553
30 F 0.5238 0.6484 0.0609
31 F 0.5425 0.2955 0.6567
32 F 0.5546 0.0274 0.2102
33 F 0.5910 0.7453 0.7975
34 F 0.6484 0.0609 0.5238
35 F 0.6567 0.5425 0.2955
36 F 0.7086 0.3490 0.4526
37 F 0.7453 0.7975 0.5910
38 F 0.7655 0.0719 0.8359
39 F 0.7975 0.5910 0.7453
40 F 0.8015 0.4476 0.9780
41 F 0.8359 0.7655 0.0719
42 F 0.9290 0.1667 0.2422
43 F 0.9553 0.4825 0.3541
44 F 0.9780 0.8015 0.4476

Most intense lines, 2θ from 5° to 70°, sorted by position:
| d (Å) | I/Imax |
| --- | --- |
| 8.357 | 49 |
| 4.964 | 30 |
| 4.579 | 32 |
| 3.562 | 34 |
| 3.512 | 100 |
| 3.052 | 49 |
| 2.170 | 36 |
| 2.147 | 41 |
| 1.853 | 19 |
| 1.839 | 40 |